The following is a calculated X-ray powder pattern of ThAlZnGe2. It was derived from a DFT-relaxed cell (PBE, Alexandria), using a wavelength of 1.5418 Å.
Kinematic intensities with the Lorentz-polarization factor, no thermal factor.

Structural model:
abc: 6.0964 6.0964 8.6695
angles: 97.75 97.75 41.29
Positions (direct):
Th 0.1542 0.1542 0.1692
Th 0.8458 0.8458 0.8308
Al 0.4428 0.4428 0.1178
Al 0.5572 0.5572 0.8822
Zn 0.1805 0.1805 0.5366
Zn 0.8195 0.8195 0.4634
Ge 0.1505 0.1505 0.8143
Ge 0.4230 0.4230 0.5939
Ge 0.5770 0.5770 0.4061
Ge 0.8495 0.8495 0.1857

Principal peaks in the range 2θ from 10° to 90°, by intensity:
Position (°2θ)  d/Å  Rel. int.
31.60  2.832  100.0
31.28  2.860  99.3
42.04  2.149  38.6
23.97  3.712  35.5
47.58  1.911  32.6
42.42  2.131  29.2
37.66  2.388  25.9
31.70  2.823  23.5
53.33  1.718  23.4
20.04  4.432  22.7


The following is a calculated X-ray powder pattern of Ti4AlGe7. It was derived from a DFT-relaxed cell (PBE, Alexandria), using a wavelength of 1.5418 Å.
Kinematic intensities with the Lorentz-polarization factor, no thermal factor.

Structural model:
abc: 14.4328 14.4328 14.4328
angles: 165.27 165.27 20.89
Positions (direct):
Ti 0.0728 0.5728 0.5000
Ti 0.1750 0.1750 0.0000
Ti 0.4272 0.9272 0.5000
Ti 0.8250 0.8250 0.0000
Al 0.2500 0.7500 0.5000
Ge 0.0000 0.0000 0.0000
Ge 0.3398 0.3398 0.0000
Ge 0.5000 0.5000 0.0000
Ge 0.5950 0.0950 0.5000
Ge 0.6602 0.6602 0.0000
Ge 0.7500 0.2500 0.5000
Ge 0.9050 0.4050 0.5000

Principal peaks in the range 2θ from 10° to 90°, by intensity:
Position (°2θ)  d/Å  Rel. int.
39.36  2.289  100.0
49.26  1.850  27.8
38.04  2.366  21.2
85.49  1.136  19.7
63.88  1.457  17.5
32.77  2.733  12.6
72.22  1.308  8.5
69.61  1.351  8.4
48.40  1.881  7.9
84.67  1.145  7.8


The following is a calculated X-ray powder pattern of U3Al2Ge3. It was derived from a DFT-relaxed cell (PBE, Alexandria), using a wavelength of 1.5418 Å.
Kinematic intensities with the Lorentz-polarization factor, no thermal factor.

Structural model:
abc: 7.8024 7.8024 7.8024
angles: 120.63 120.63 88.91
Positions (direct):
U 0.0000 0.0000 0.0000
U 0.1297 0.6297 0.1926
U 0.4371 0.9371 0.8074
U 0.5000 0.5000 0.0000
U 0.6297 0.4371 0.5000
U 0.9371 0.1297 0.5000
Al 0.2330 0.4555 0.5000
Al 0.4555 0.9555 0.2225
Al 0.7330 0.2330 0.7775
Al 0.9555 0.7330 0.5000
Ge 0.1205 0.6205 0.8022
Ge 0.2487 0.2487 0.0000
Ge 0.3183 0.1205 0.5000
Ge 0.6205 0.8183 0.5000
Ge 0.7487 0.7487 0.0000
Ge 0.8183 0.3183 0.1978

Principal peaks in the range 2θ from 10° to 90°, by intensity:
Position (°2θ)  d/Å  Rel. int.
35.49  2.530  100.0
36.78  2.444  82.3
27.01  3.301  71.3
49.63  1.837  44.8
32.14  2.785  34.8
22.80  3.901  33.6
70.33  1.339  28.9
28.11  3.175  24.8
32.78  2.732  17.8
54.87  1.673  17.6


The following is a calculated X-ray powder pattern of Al2V7Ge2. It was derived from a DFT-relaxed cell (PBE, Alexandria), using a wavelength of 1.5418 Å.
Kinematic intensities with the Lorentz-polarization factor, no thermal factor.

Structural model:
abc: 6.3590 6.3590 6.3590
angles: 139.50 96.90 96.87
Positions (direct):
Al 0.2171 0.2171 0.0000
Al 0.7829 0.7829 0.0000
V 0.9999 0.3044 0.6955
V 0.0000 0.5000 0.5000
V 0.0001 0.6956 0.3045
V 0.3910 0.6956 0.6955
V 0.5000 0.2532 0.7532
V 0.5000 0.7468 0.2468
V 0.6090 0.3044 0.3045
Ge 0.2201 0.0000 0.2201
Ge 0.7799 0.0000 0.7799

Principal peaks in the range 2θ from 10° to 90°, by intensity:
Position (°2θ)  d/Å  Rel. int.
43.82  2.066  100.0
42.87  2.109  26.7
37.96  2.370  19.0
71.31  1.323  18.0
33.59  2.668  17.8
31.22  2.865  16.7
46.54  1.951  14.6
41.01  2.201  14.4
76.65  1.243  14.4
86.92  1.121  11.6


The following is a calculated X-ray powder pattern of Al3V12Ge. It was derived from a DFT-relaxed cell (PBE, Alexandria), using a wavelength of 1.5418 Å.
Kinematic intensities with the Lorentz-polarization factor, no thermal factor.

Structural model:
abc: 4.7480 4.7484 9.7603
angles: 90.00 90.00 90.00
Positions (direct):
Al 0.0000 0.0000 0.0000
Al 0.5000 0.5000 0.2508
Al 0.5000 0.5000 0.7492
V 0.0000 0.5000 0.1251
V 0.0000 0.5000 0.3754
V 0.0000 0.5000 0.6246
V 0.0000 0.5000 0.8749
V 0.2388 0.0000 0.2520
V 0.2388 0.0000 0.7480
V 0.5000 0.2585 0.5000
V 0.5000 0.2623 0.0000
V 0.5000 0.7377 0.0000
V 0.5000 0.7415 0.5000
V 0.7612 0.0000 0.2520
V 0.7612 0.0000 0.7480
Ge 0.0000 0.0000 0.5000

Principal peaks in the range 2θ from 10° to 90°, by intensity:
Position (°2θ)  d/Å  Rel. int.
46.65  1.947  100.0
42.57  2.123  97.0
42.34  2.135  92.4
41.61  2.170  91.9
45.98  1.974  66.0
37.90  2.374  51.7
74.65  1.271  30.3
36.84  2.440  27.8
73.31  1.291  23.9
67.75  1.383  22.5


The following is a calculated X-ray powder pattern of Al2VGe. It was derived from a DFT-relaxed cell (PBE, Alexandria), using a wavelength of 1.5418 Å.
Kinematic intensities with the Lorentz-polarization factor, no thermal factor.

Structural model:
abc: 4.7435 5.1942 4.9471
angles: 90.00 92.63 90.00
Positions (direct):
Al 0.2465 0.0029 0.3594
Al 0.2465 0.4971 0.3594
Al 0.7535 0.5029 0.6406
Al 0.7535 0.9971 0.6406
V 0.3059 0.2500 0.8541
V 0.6941 0.7500 0.1459
Ge 0.2068 0.7500 0.8825
Ge 0.7932 0.2500 0.1175

Principal peaks in the range 2θ from 10° to 90°, by intensity:
Position (°2θ)  d/Å  Rel. int.
41.98  2.152  100.0
44.15  2.051  86.8
39.19  2.299  85.9
37.98  2.369  79.5
40.39  2.233  77.1
43.38  2.086  65.6
17.95  4.942  57.3
30.80  2.903  32.1
25.44  3.501  26.0
55.06  1.668  25.0


The following is a calculated X-ray powder pattern of AlV6Ge. It was derived from a DFT-relaxed cell (PBE, Alexandria), using a wavelength of 1.5418 Å.
Kinematic intensities with the Lorentz-polarization factor, no thermal factor.

Structural model:
abc: 4.3026 5.7595 8.8415
angles: 90.00 90.00 90.00
Positions (direct):
Al 0.0000 0.0000 0.0000
Al 0.0000 0.5000 0.5000
V 0.0000 0.0000 0.4774
V 0.0000 0.2499 0.2402
V 0.0000 0.2501 0.7402
V 0.0000 0.5000 0.9774
V 0.0000 0.7501 0.2402
V 0.0000 0.7499 0.7402
V 0.5000 0.0000 0.2130
V 0.5000 0.2478 0.9504
V 0.5000 0.2522 0.4504
V 0.5000 0.5000 0.7130
V 0.5000 0.7478 0.4504
V 0.5000 0.7522 0.9504
Ge 0.5000 0.0000 0.6913
Ge 0.5000 0.5000 0.1913

Principal peaks in the range 2θ from 10° to 90°, by intensity:
Position (°2θ)  d/Å  Rel. int.
42.98  2.105  100.0
42.00  2.151  28.7
40.82  2.210  23.8
77.41  1.233  15.4
60.01  1.542  13.9
46.17  1.966  10.1
75.81  1.255  9.1
80.22  1.197  7.4
64.74  1.440  7.1
79.43  1.206  5.8


The following is a calculated X-ray powder pattern of YAl2Ge. It was derived from a DFT-relaxed cell (PBE, Alexandria), using a wavelength of 1.5418 Å.
Kinematic intensities with the Lorentz-polarization factor, no thermal factor.

Structural model:
abc: 4.2281 4.2281 4.3862
angles: 90.00 90.00 90.00
Positions (direct):
Y 0.0000 0.0000 0.0000
Al 0.0000 0.5000 0.5000
Al 0.5000 0.0000 0.5000
Ge 0.5000 0.5000 0.0000

Principal peaks in the range 2θ from 10° to 90°, by intensity:
Position (°2θ)  d/Å  Rel. int.
36.37  2.470  100.0
42.77  2.114  31.4
20.25  4.386  28.4
74.14  1.279  23.7
29.89  2.990  21.9
60.86  1.522  21.5
41.16  2.193  17.5
71.88  1.313  13.0
47.76  1.904  11.8
77.24  1.235  10.6


The following is a calculated X-ray powder pattern of YAl2Ge2. It was derived from a DFT-relaxed cell (PBE, Alexandria), using a wavelength of 1.5418 Å.
Kinematic intensities with the Lorentz-polarization factor, no thermal factor.

Structural model:
abc: 4.2745 4.2745 6.6562
angles: 90.00 90.00 120.00
Positions (direct):
Y 0.0000 0.0000 0.0000
Al 0.3333 0.6667 0.6455
Al 0.6667 0.3333 0.3545
Ge 0.3333 0.6667 0.2577
Ge 0.6667 0.3333 0.7423

Principal peaks in the range 2θ from 10° to 90°, by intensity:
Position (°2θ)  d/Å  Rel. int.
27.57  3.235  100.0
36.30  2.475  70.3
42.29  2.137  64.4
47.79  1.903  25.5
56.93  1.618  18.5
51.23  1.783  17.5
73.41  1.290  17.0
68.53  1.369  14.2
60.11  1.539  13.3
71.91  1.313  10.8


The following is a calculated X-ray powder pattern of Y2Al2Ge3. It was derived from a DFT-relaxed cell (PBE, Alexandria), using a wavelength of 1.5418 Å.
Kinematic intensities with the Lorentz-polarization factor, no thermal factor.

Structural model:
abc: 7.8604 7.8604 11.8263
angles: 124.97 124.97 30.79
Positions (direct):
Y 0.0973 0.0973 0.4446
Y 0.2320 0.2320 0.8366
Y 0.7680 0.7680 0.1634
Y 0.9027 0.9027 0.5554
Al 0.0960 0.0960 0.1654
Al 0.4498 0.4498 0.1898
Al 0.5502 0.5502 0.8102
Al 0.9040 0.9040 0.8346
Ge 0.1142 0.1142 0.9639
Ge 0.3347 0.3347 0.6785
Ge 0.4081 0.4081 0.3764
Ge 0.5919 0.5919 0.6236
Ge 0.6653 0.6653 0.3215
Ge 0.8858 0.8858 0.0361

Principal peaks in the range 2θ from 10° to 90°, by intensity:
Position (°2θ)  d/Å  Rel. int.
35.90  2.501  100.0
32.13  2.786  96.6
37.27  2.413  96.2
43.36  2.087  76.9
31.66  2.826  69.6
36.77  2.444  58.8
26.05  3.421  51.2
48.87  1.864  45.3
44.43  2.039  36.1
37.41  2.404  35.1


The following is a calculated X-ray powder pattern of AlH3. It was derived from a DFT-relaxed cell (PBE, Alexandria), using a wavelength of 1.5418 Å.
Kinematic intensities with the Lorentz-polarization factor, no thermal factor.

Structural model:
abc: 5.3783 7.3194 5.7271
angles: 90.00 90.00 90.00
Positions (direct):
Al 0.0000 0.0000 0.0000
Al 0.2111 0.0866 0.5000
Al 0.2889 0.5866 0.0000
Al 0.5000 0.5000 0.5000
Al 0.7111 0.4134 0.0000
Al 0.7889 0.9134 0.5000
H 0.0000 0.5000 0.0000
H 0.1013 0.8597 0.5000
H 0.1801 0.8035 0.0000
H 0.2048 0.0874 0.1998
H 0.2048 0.0874 0.8002
H 0.2952 0.5874 0.3002
H 0.2952 0.5874 0.6998
H 0.3199 0.3035 0.5000
H 0.3987 0.3597 0.0000
H 0.5000 0.0000 0.5000
H 0.6013 0.6403 0.0000
H 0.6801 0.6965 0.5000
H 0.7048 0.4126 0.3002
H 0.7048 0.4126 0.6998
H 0.7952 0.9126 0.1998
H 0.7952 0.9126 0.8002
H 0.8199 0.1965 0.0000
H 0.8987 0.1403 0.5000

Principal peaks in the range 2θ from 10° to 90°, by intensity:
Position (°2θ)  d/Å  Rel. int.
20.49  4.334  100.0
38.99  2.310  85.7
31.24  2.864  68.7
24.32  3.660  55.8
29.52  3.026  53.3
25.78  3.456  49.8
43.70  2.071  35.8
37.65  2.389  32.4
19.68  4.510  27.7
60.84  1.523  25.5


The following is a calculated X-ray powder pattern of AlH2. It was derived from a DFT-relaxed cell (PBE, Alexandria), using a wavelength of 1.5418 Å.
Kinematic intensities with the Lorentz-polarization factor, no thermal factor.

Structural model:
abc: 4.2982 4.5298 7.2169
angles: 90.00 90.00 90.00
Positions (direct):
Al 0.0000 0.0000 0.1767
Al 0.0000 0.0000 0.8233
Al 0.5000 0.5000 0.3233
Al 0.5000 0.5000 0.6767
H 0.2441 0.1714 0.3184
H 0.2441 0.8286 0.6816
H 0.2559 0.3286 0.8184
H 0.2559 0.6714 0.1816
H 0.7441 0.3286 0.1816
H 0.7441 0.6714 0.8184
H 0.7559 0.1714 0.6816
H 0.7559 0.8286 0.3184

Principal peaks in the range 2θ from 10° to 90°, by intensity:
Position (°2θ)  d/Å  Rel. int.
28.63  3.118  100.0
24.67  3.608  35.6
38.15  2.359  32.9
24.10  3.693  31.1
23.18  3.837  30.7
43.09  2.099  29.6
42.55  2.125  28.4
60.10  1.540  22.0
61.36  1.511  21.6
39.80  2.265  17.5


The following is a calculated X-ray powder pattern of AlH6. It was derived from a DFT-relaxed cell (PBE, Alexandria), using a wavelength of 1.5418 Å.
Kinematic intensities with the Lorentz-polarization factor, no thermal factor.

Structural model:
abc: 3.2269 3.2269 14.2656
angles: 91.11 91.11 107.45
Positions (direct):
Al 0.0000 0.5000 0.0000
Al 0.5000 0.0000 0.5000
H 0.0138 0.5129 0.1110
H 0.0527 0.0543 0.2726
H 0.0543 0.0527 0.7726
H 0.1052 0.3950 0.5000
H 0.3950 0.1052 0.0000
H 0.4871 0.9862 0.3890
H 0.5129 0.0138 0.6110
H 0.6050 0.8948 0.0000
H 0.8948 0.6050 0.5000
H 0.9457 0.9473 0.2274
H 0.9473 0.9457 0.7274
H 0.9862 0.4871 0.8890

Principal peaks in the range 2θ from 10° to 90°, by intensity:
Position (°2θ)  d/Å  Rel. int.
12.42  7.129  100.0
29.53  3.025  20.9
24.98  3.564  20.5
29.87  2.992  19.8
36.78  2.444  14.6
34.29  2.615  10.3
35.16  2.552  9.3
34.47  2.602  7.1
43.04  2.101  5.3
42.65  2.120  5.1